No. 1
# Cs2HoBr6
Simulated powder diffraction line list, Cu Kα (λ = 1.5418 Å). Input: a DFT-relaxed cell (GGA-PBE, Alexandria).

The 12 most intense peaks (2θ from 10° to 90°), by angle:
2θ/deg  d [Å]  I (rel.)
14.56  6.082  23.5
22.41  3.966  19.6
26.83  3.322  22.9
27.28  3.269  21.4
29.37  3.041  100.0
33.21  2.698  40.3
43.50  2.081  21.1
45.75  1.983  36.7
49.52  1.841  25.3
54.09  1.696  18.0
55.30  1.661  16.2
75.36  1.261  16.3

Structural model:
```
data_Cs2HoBr6
_chemical_formula_sum 'Cs4 Ho2 Br12'
_cell_length_a 7.9329
_cell_length_b 7.9329
_cell_length_c 13.0752
_cell_angle_alpha 90.00
_cell_angle_beta 90.00
_cell_angle_gamma 120.00
_space_group_name_H-M_alt 'P 63 m c'
_space_group_IT_number 186
_space_group_name_Hall 'P 6c -2c'
loop_
_atom_site_label
_atom_site_fract_x
_atom_site_fract_y
_atom_site_fract_z
_atom_site_occupancy
Cs1 0.0000 0.0000 0.0000 1
Cs2 0.3333 0.6667 0.2567 1
Ho1 0.3333 0.6667 0.6331 1
Br1 0.0057 0.5029 0.5078 1
Br2 0.1648 0.3297 0.7513 1
```

***

No. 2
# La3Al4Os4
Simulated powder diffraction line list, Cu Kα (λ = 1.5418 Å). Input: a DFT-relaxed cell (GGA-PBE, Alexandria).

The 12 most intense peaks (2θ from 10° to 90°), by angle:
2θ/deg  d [Å]  I (rel.)
28.14  3.171  94.6
32.61  2.746  100.0
36.59  2.456  49.3
43.60  2.076  17.5
49.81  1.831  59.2
52.71  1.737  14.1
55.50  1.656  25.2
58.19  1.585  18.8
70.73  1.332  20.2
73.11  1.294  21.2
75.45  1.260  14.7
82.36  1.171  13.7

Structural model:
```
data_La3Al4Os4
_chemical_formula_sum 'La6 Al8 Os8'
_cell_length_a 7.7665
_cell_length_b 7.7665
_cell_length_c 7.7665
_cell_angle_alpha 90.00
_cell_angle_beta 90.00
_cell_angle_gamma 90.00
_space_group_name_H-M_alt 'I -4 3 m'
_space_group_IT_number 217
_space_group_name_Hall 'I -4 2 3'
loop_
_atom_site_label
_atom_site_fract_x
_atom_site_fract_y
_atom_site_fract_z
_atom_site_occupancy
La1 0.0000 0.0000 0.5000 1
Al1 0.1283 0.1283 0.1283 1
Os1 0.1877 0.1877 0.8123 1
```

***

No. 3
# Tm3Ga8Tc3
Simulated powder diffraction line list, Cu Kα (λ = 1.5418 Å). Input: a DFT-relaxed cell (GGA-PBE, Alexandria).

The 12 most intense peaks (2θ from 10° to 90°), by angle:
2θ/deg  d [Å]  I (rel.)
29.99  2.979  15.5
34.66  2.588  29.4
35.53  2.526  32.9
35.71  2.514  100.0
36.01  2.494  27.0
37.01  2.429  39.7
38.46  2.341  38.6
42.09  2.147  55.1
43.75  2.069  16.7
44.65  2.029  25.2
55.64  1.652  15.0
70.05  1.343  25.8

Structural model:
```
data_Tm3Ga8Tc3
_chemical_formula_sum 'Tm6 Ga16 Tc6'
_cell_length_a 4.2924
_cell_length_b 9.3756
_cell_length_c 12.4142
_cell_angle_alpha 90.00
_cell_angle_beta 90.00
_cell_angle_gamma 90.00
_space_group_name_H-M_alt 'I m m m'
_space_group_IT_number 71
_space_group_name_Hall '-I 2 2'
loop_
_atom_site_label
_atom_site_fract_x
_atom_site_fract_y
_atom_site_fract_z
_atom_site_occupancy
Tm1 0.0000 0.0000 0.0000 1
Tm2 0.0000 0.0000 0.2959 1
Ga1 0.0000 0.2886 0.1358 1
Ga2 0.0000 0.3635 0.3506 1
Tc1 0.0000 0.1663 0.5000 1
Tc2 0.0000 0.5000 0.0000 1
```

***

No. 4
# ErMgP2Ir5
Simulated powder diffraction line list, Cu Kα (λ = 1.5418 Å). Input: a DFT-relaxed cell (GGA-PBE, Alexandria).

The 12 most intense peaks (2θ from 10° to 90°), by angle:
2θ/deg  d [Å]  I (rel.)
24.95  3.568  100.0
33.16  2.701  83.1
36.29  2.475  94.3
41.05  2.199  20.7
45.97  1.974  54.3
47.04  1.932  23.1
53.01  1.727  53.0
53.97  1.699  46.1
67.05  1.396  17.7
71.24  1.324  22.7
72.74  1.300  20.9
78.70  1.216  20.6

Structural model:
```
data_ErMgP2Ir5
_chemical_formula_sum 'Er1 Mg1 P2 Ir5'
_cell_length_a 3.9482
_cell_length_b 3.9482
_cell_length_c 10.7048
_cell_angle_alpha 90.00
_cell_angle_beta 90.00
_cell_angle_gamma 90.00
_space_group_name_H-M_alt 'P 4/m m m'
_space_group_IT_number 123
_space_group_name_Hall '-P 4 2'
loop_
_atom_site_label
_atom_site_fract_x
_atom_site_fract_y
_atom_site_fract_z
_atom_site_occupancy
Er1 0.0000 0.0000 0.0000 1
Mg1 0.0000 0.0000 0.5000 1
P1 0.5000 0.5000 0.2133 1
Ir1 0.0000 0.5000 0.3207 1
Ir2 0.5000 0.5000 0.0000 1
```

***

No. 5
# Pr6Tm5Sc2
Simulated powder diffraction line list, Cu Kα (λ = 1.5418 Å). Input: a DFT-relaxed cell (GGA-PBE, Alexandria).

The 12 most intense peaks (2θ from 10° to 90°), by angle:
2θ/deg  d [Å]  I (rel.)
27.39  3.257  58.3
27.95  3.192  18.7
30.09  2.970  52.8
31.80  2.814  100.0
32.39  2.764  19.1
32.72  2.737  57.8
34.43  2.605  19.7
35.95  2.498  28.8
36.52  2.461  27.7
51.57  1.772  16.7
52.31  1.749  16.6
55.60  1.653  18.4

Structural model:
```
data_Pr6Tm5Sc2
_chemical_formula_sum 'Pr12 Tm10 Sc4'
_cell_length_a 10.8479
_cell_length_b 22.4861
_cell_length_c 3.4980
_cell_angle_alpha 90.00
_cell_angle_beta 90.00
_cell_angle_gamma 90.00
_space_group_name_H-M_alt 'P b a m'
_space_group_IT_number 55
loop_
_space_group_symop_operation_xyz
'x,y,z'
'-x,-y,-z'
'-x,-y,z'
'x,y,-z'
'x+1/2,-y+1/2,-z'
'-x+1/2,y+1/2,z'
'-x+1/2,y+1/2,-z'
'x+1/2,-y+1/2,z'
loop_
_atom_site_label
_atom_site_fract_x
_atom_site_fract_y
_atom_site_fract_z
_atom_site_occupancy
Pr1 0.0325 0.1126 0.0000 1
Pr2 0.1385 0.3847 0.0000 1
Pr3 0.1658 0.6393 0.5000 1
Tm1 0.0000 0.5000 0.5000 1
Tm2 0.0853 0.2497 0.5000 1
Tm3 0.1656 0.9923 0.5000 1
Sc1 0.1648 0.7744 0.0000 1
```

***

No. 6
# CsCd10Au2
Simulated powder diffraction line list, Cu Kα (λ = 1.5418 Å). Input: a DFT-relaxed cell (GGA-PBE, Alexandria).

The 12 most intense peaks (2θ from 10° to 90°), by angle:
2θ/deg  d [Å]  I (rel.)
30.35  2.945  19.3
32.27  2.774  41.1
34.51  2.599  40.7
34.69  2.586  95.0
35.06  2.559  46.8
35.43  2.534  41.1
38.95  2.313  100.0
39.10  2.304  22.4
39.60  2.276  28.7
62.40  1.488  16.3
63.15  1.472  20.6
73.22  1.293  17.1

Structural model:
```
data_CsCd10Au2
_chemical_formula_sum 'Cs4 Cd40 Au8'
_cell_length_a 10.3466
_cell_length_b 12.0217
_cell_length_c 10.1358
_cell_angle_alpha 90.00
_cell_angle_beta 90.00
_cell_angle_gamma 90.00
_space_group_name_H-M_alt 'C m c m'
_space_group_IT_number 63
_space_group_name_Hall '-C 2c 2'
loop_
_atom_site_label
_atom_site_fract_x
_atom_site_fract_y
_atom_site_fract_z
_atom_site_occupancy
Cs1 0.0000 0.1207 0.2500 1
Cd1 0.0000 0.1628 0.6033 1
Cd2 0.0000 0.3822 0.0416 1
Cd3 0.1449 0.3789 0.7500 1
Cd4 0.2249 0.0000 0.0000 1
Cd5 0.2250 0.3713 0.2500 1
Au1 0.2500 0.2500 0.0000 1
```

***

No. 7
# AgBiH
Simulated powder diffraction line list, Cu Kα (λ = 1.5418 Å). Input: a DFT-relaxed cell (GGA-PBE, Alexandria).

The 12 most intense peaks (2θ from 10° to 90°), by angle:
2θ/deg  d [Å]  I (rel.)
18.78  4.726  69.3
18.96  4.680  73.4
25.36  3.511  39.8
25.47  3.497  39.6
27.56  3.237  47.9
28.44  3.138  47.7
33.27  2.693  95.5
35.49  2.530  70.2
35.65  2.518  69.2
37.19  2.418  42.1
40.23  2.242  100.0
40.62  2.221  75.0

Structural model:
```
data_AgBiH
_chemical_formula_sum 'Ag2 Bi2 H2'
_cell_length_a 4.8985
_cell_length_b 5.3865
_cell_length_c 5.4810
_cell_angle_alpha 119.13
_cell_angle_beta 97.96
_cell_angle_gamma 90.15
_space_group_name_H-M_alt 'P -1'
_space_group_IT_number 2
loop_
_space_group_symop_operation_xyz
'x,y,z'
'-x,-y,-z'
loop_
_atom_site_label
_atom_site_fract_x
_atom_site_fract_y
_atom_site_fract_z
_atom_site_occupancy
Ag1 0.2310 0.4244 0.3494 1
Bi1 0.3164 0.7504 0.0004 1
H1 0.0008 0.9297 0.5013 1
```

***

No. 8
# Hf3TiRe
Simulated powder diffraction line list, Cu Kα (λ = 1.5418 Å). Input: a DFT-relaxed cell (GGA-PBE, Alexandria).

The 12 most intense peaks (2θ from 10° to 90°), by angle:
2θ/deg  d [Å]  I (rel.)
17.23  5.146  64.5
18.98  4.675  27.4
32.19  2.781  56.2
33.90  2.644  52.1
38.52  2.337  94.7
40.47  2.229  31.9
41.07  2.198  100.0
42.00  2.151  35.4
45.18  2.007  16.0
60.04  1.541  43.6
75.31  1.262  19.4
75.96  1.253  37.3

Structural model:
```
data_Hf3TiRe
_chemical_formula_sum 'Hf18 Ti6 Re6'
_cell_length_a 6.1640
_cell_length_b 6.1640
_cell_length_c 19.3616
_cell_angle_alpha 90.00
_cell_angle_beta 90.00
_cell_angle_gamma 120.00
_space_group_name_H-M_alt 'R -3 m'
_space_group_IT_number 166
_space_group_name_Hall '-R 3 2"'
loop_
_atom_site_label
_atom_site_fract_x
_atom_site_fract_y
_atom_site_fract_z
_atom_site_occupancy
Hf1 0.0077 0.5038 0.3947 1
Ti1 0.0000 0.0000 0.4118 1
Re1 0.0000 0.0000 0.1667 1
```